Record 1
# RbPdCl
Theoretical powder diffractogram, Cu Kα. Input: a GGA-PBE-relaxed structure.
No peak broadening, texture or thermal motion is included.

Crystal structure
a b c (Å): 5.4024 5.2815 11.2988
angles (deg): 90.00 99.07 90.00
Space group Cm (No. 8)
Unique sites:
Rb 0.0000 0.0000 0.0000
Rb 0.1191 0.0000 0.3634
Pd 0.0065 0.0000 0.7040
Pd 0.4980 0.0000 0.7563
Cl 0.0569 0.5000 0.1748
Cl 0.1734 0.5000 0.5309

Top 10 peaks for 10° ≤ 2θ ≤ 80°, low angle first:
d (Å)	Position (°2θ)	I (rel.)	hkl
5.579	15.9	29	0 0 2
3.719	23.9	57	0 0 3
2.965	30.1	35	1 1 2
2.802	31.9	100	1 1 -3
2.667	33.6	44	2 0 0
2.641	33.9	74	0 2 0
2.569	34.9	24	2 0 -2
2.506	35.8	57	2 0 1
2.153	42.0	26	0 2 3
1.877	48.5	30	2 2 0



Record 2
# SrIn6Pd3
Theoretical powder diffractogram, Cu Kα. Input: a GGA-PBE-relaxed structure.
No peak broadening, texture or thermal motion is included.

Crystal structure
a b c (Å): 10.1337 4.5044 10.4616
angles (deg): 90.00 96.02 90.00
Space group P2_1/m (No. 11)
Unique sites:
Sr 0.0917 0.2500 0.2324
In 0.1191 0.7500 0.4891
In 0.1468 0.2500 0.9260
In 0.2692 0.7500 0.7624
In 0.3487 0.7500 0.2979
In 0.3526 0.2500 0.5539
In 0.4472 0.2500 0.0877
Pd 0.1207 0.2500 0.6588
Pd 0.2888 0.7500 0.0298
Pd 0.4994 0.2500 0.3548

Top 10 peaks for 10° ≤ 2θ ≤ 80°, low angle first:
d (Å)	Position (°2θ)	I (rel.)	hkl
3.132	28.5	51	2 1 1
2.916	30.7	41	2 1 -2
2.736	32.7	37	2 1 2
2.693	33.3	51	3 1 0
2.417	37.2	72	2 0 -4
2.332	38.6	83	2 1 3
2.252	40.0	100	0 2 0
2.192	41.2	62	4 1 -1
2.157	41.9	49	1 1 4
1.648	55.8	43	2 2 -4



Record 3
# BaThIn
Theoretical powder diffractogram, Cu Kα. Input: a GGA-PBE-relaxed structure.
No peak broadening, texture or thermal motion is included.

Crystal structure
a b c (Å): 4.1500 4.1500 27.7699
angles (deg): 90.00 90.00 90.00
Space group I4/mmm (No. 139)
Unique sites:
Ba 0.0000 0.0000 0.0795
Th 0.0000 0.0000 0.2156
In 0.0000 0.0000 0.3414

Top 10 peaks for 10° ≤ 2θ ≤ 80°, low angle first:
d (Å)	Position (°2θ)	I (rel.)	hkl
4.104	21.7	11	1 0 1
2.935	30.5	53	1 1 0
2.868	31.2	100	1 0 7
2.476	36.3	26	1 0 9
2.075	43.6	20	2 0 0
1.681	54.6	35	2 1 7
1.643	56.0	10	1 1 14
1.590	58.0	13	2 1 9
1.312	72.0	9	3 1 0
1.306	72.3	10	3 0 7



Record 4
# ZrTlRe
Theoretical powder diffractogram, Cu Kα. Input: a GGA-PBE-relaxed structure.
No peak broadening, texture or thermal motion is included.

Crystal structure
a b c (Å): 3.5319 3.5319 9.5189
angles (deg): 90.00 90.00 90.00
Space group I4mm (No. 107)
Unique sites:
Zr 0.0000 0.0000 0.0000
Tl 0.0000 0.0000 0.6870
Re 0.0000 0.0000 0.3615

Top 10 peaks for 10° ≤ 2θ ≤ 80°, low angle first:
d (Å)	Position (°2θ)	I (rel.)	hkl
4.759	18.6	5	0 0 2
3.311	26.9	14	1 0 1
2.497	36.0	61	1 1 0
2.360	38.1	100	1 0 3
1.766	51.8	22	2 0 0
1.723	53.2	5	1 1 4
1.586	58.1	7	0 0 6
1.414	66.1	40	2 1 3
1.339	70.3	15	1 1 6
1.249	76.2	7	2 2 0



Record 5
# Ac4La2Pr3
Theoretical powder diffractogram, Cu Kα. Input: a GGA-PBE-relaxed structure.
No peak broadening, texture or thermal motion is included.

Crystal structure
a b c (Å): 16.3388 5.4378 8.6000
angles (deg): 90.00 108.53 90.00
Space group C2/m (No. 12)
Unique sites:
Ac 0.0521 0.0000 0.3289
Ac 0.2233 0.5000 0.3279
La 0.1677 0.0000 0.0006
Pr 0.0000 0.5000 0.0000
Pr 0.1115 0.5000 0.6728

Top 10 peaks for 10° ≤ 2θ ≤ 80°, low angle first:
d (Å)	Position (°2θ)	I (rel.)	hkl
3.141	28.4	100	3 1 1
2.720	32.9	51	0 2 0
1.923	47.3	38	6 2 -1
1.641	56.1	38	3 3 1
1.639	56.1	8	3 1 4
1.570	58.8	13	6 2 2
1.248	76.3	12	9 3 0
1.247	76.3	6	3 3 4
1.217	78.6	6	12 2 -2
1.216	78.7	11	6 4 -1



Record 6
# AcPt2Au10
Theoretical powder diffractogram, Cu Kα. Input: a GGA-PBE-relaxed structure.
No peak broadening, texture or thermal motion is included.

Crystal structure
a b c (Å): 5.7089 13.2751 13.5128
angles (deg): 90.00 90.00 90.00
Space group Fmmm (No. 69)
Unique sites:
Ac 0.0000 0.0000 0.0000
Pt 0.2500 0.2500 0.0000
Au 0.0000 0.1091 0.3924
Au 0.0000 0.1761 0.1699
Au 0.2500 0.0000 0.2500

Top 10 peaks for 10° ≤ 2θ ≤ 80°, low angle first:
d (Å)	Position (°2θ)	I (rel.)	hkl
2.854	31.3	16	2 0 0
2.762	32.4	39	1 3 3
2.445	36.8	66	2 2 2
2.402	37.4	40	1 1 5
2.369	38.0	100	0 4 4
2.180	41.4	38	2 0 4
2.164	41.7	32	2 4 0
2.133	42.4	17	0 2 6
1.381	67.9	40	2 6 6
1.222	78.2	15	4 4 4



Record 7
# USiSe4
Theoretical powder diffractogram, Cu Kα. Input: a GGA-PBE-relaxed structure.
No peak broadening, texture or thermal motion is included.

Crystal structure
a b c (Å): 6.7425 6.7425 7.4889
angles (deg): 90.00 90.00 90.00
Space group P-42c (No. 112)
Unique sites:
U 0.0000 0.0000 0.0000
Si 0.0000 0.5000 0.2500
Se 0.2419 0.2535 0.3004

Top 10 peaks for 10° ≤ 2θ ≤ 80°, low angle first:
d (Å)	Position (°2θ)	I (rel.)	hkl
6.743	13.1	100	1 0 0
4.768	18.6	33	1 1 0
3.274	27.2	35	1 0 2
3.015	29.6	28	2 1 0
2.945	30.4	54	1 1 2
2.505	35.8	72	2 0 2
2.384	37.7	49	2 2 0
2.349	38.3	31	2 1 2
1.853	49.2	28	3 1 2
1.399	66.9	23	4 2 2



Record 8
# NdGeBO5
Theoretical powder diffractogram, Cu Kα. Input: a GGA-PBE-relaxed structure.
No peak broadening, texture or thermal motion is included.

Crystal structure
a b c (Å): 5.0122 7.6845 10.1492
angles (deg): 90.00 91.85 90.00
Space group P2_1/c (No. 14)
Unique sites:
Nd 0.0067 0.1076 0.1794
Ge 0.4703 0.7352 0.5757
B 0.4560 0.0970 0.6701
O 0.2204 0.5906 0.5276
O 0.2653 0.6040 0.8096
O 0.2982 0.1605 0.7962
O 0.3303 0.5781 0.1507
O 0.3405 0.2151 0.5648

Top 10 peaks for 10° ≤ 2θ ≤ 80°, low angle first:
d (Å)	Position (°2θ)	I (rel.)	hkl
6.125	14.5	60	0 1 1
3.593	24.8	52	0 2 1
3.508	25.4	75	1 0 2
3.277	27.2	100	1 1 -2
3.191	28.0	64	1 1 2
3.049	29.3	53	1 2 0
2.936	30.4	86	1 2 -1
2.904	30.8	74	1 2 1
1.795	50.9	68	1 4 0
1.709	53.6	53	1 3 -4